Theoretical powder diffractogram
Compound: LuZr2Ni4Ge4
Radiation: Cu Kα, 1.54184 Å
Structure: a PBE-relaxed structure
Peak positions follow from Bragg's law for the DFT cell and can differ from measured ones.

Crystal structure
Cell lengths 3.955, 6.642, 13.109 Å; angles 90.00, 90.00, 90.00 degrees
Space group Immm (No. 71)
Unique sites:
Lu (0.000, 0.000, 0.000) [2 per cell]
Zr (0.000, 0.500, 0.127) [4 per cell]
Ni (0.000, 0.302, 0.323) [8 per cell]
Ge (0.000, 0.000, 0.217) [4 per cell]
Ge (0.000, 0.194, 0.500) [4 per cell]

Top 10 peaks for 2θ from 5° to 70°, sorted by position:
(hkl)  two_theta  I/Imax
1 1 2  29.6  12
1 2 1  36.0  100
0 1 5  36.9  30
1 1 4  38.1  83
0 0 6  41.3  21
2 0 0  45.9  63
1 2 5  50.0  28
0 3 5  54.2  10
2 1 5  60.3  14
2 3 3  67.0  17

---

Theoretical powder diffractogram
Compound: Lu2Ge2O7
Radiation: Cu Kα, 1.54184 Å
Structure: a PBE-relaxed structure
Peak positions follow from Bragg's law for the DFT cell and can differ from measured ones.

Crystal structure
Cell lengths 6.689, 6.689, 12.163 Å; angles 90.00, 90.00, 90.00 degrees
Space group P4_12_12 (No. 92)
Unique sites:
Lu (0.128, 0.358, 0.114) [8 per cell]
Ge (0.103, 0.148, 0.633) [8 per cell]
O (0.039, 0.079, 0.871) [8 per cell]
O (0.066, 0.662, 0.180) [8 per cell]
O (0.143, 0.325, 0.293) [8 per cell]
O (0.200, 0.200, 0.500) [4 per cell]

Top 10 peaks for 2θ from 5° to 70°, sorted by position:
(hkl)  two_theta  I/Imax
1 0 1  15.1  49
2 0 1  27.7  77
0 0 4  29.4  71
2 1 1  30.8  49
2 1 2  33.4  100
2 0 3  34.8  43
3 2 1  49.7  35
2 1 6  54.7  32
4 0 0  54.9  23
4 0 4  63.5  26

---

Theoretical powder diffractogram
Compound: Lu2GeO5
Radiation: Cu Kα, 1.54184 Å
Structure: a PBE-relaxed structure
Peak positions follow from Bragg's law for the DFT cell and can differ from measured ones.

Crystal structure
Cell lengths 14.634, 6.680, 10.151 Å; angles 90.00, 121.78, 90.00 degrees
Space group C2/c (No. 15)
Unique sites:
Lu (0.035, 0.242, 0.465) [8 per cell]
Lu (0.136, 0.130, 0.837) [8 per cell]
Ge (0.186, 0.405, 0.310) [8 per cell]
O (0.018, 0.099, 0.899) [8 per cell]
O (0.081, 0.497, 0.132) [8 per cell]
O (0.116, 0.197, 0.325) [8 per cell]
O (0.193, 0.155, 0.675) [8 per cell]
O (0.204, 0.424, 0.952) [8 per cell]

Top 10 peaks for 2θ from 5° to 70°, sorted by position:
(hkl)  two_theta  I/Imax
3 1 -1  22.6  57
4 0 -2  25.0  57
0 2 1  28.7  72
3 1 -3  30.1  91
2 2 0  30.4  33
2 0 2  30.8  100
5 1 -1  34.5  80
2 2 -3  37.9  33
2 2 2  41.2  28
6 0 -4  41.6  31

---

Theoretical powder diffractogram
Compound: Lu6Ge4O17
Radiation: Cu Kα, 1.54184 Å
Structure: a PBE-relaxed structure
Peak positions follow from Bragg's law for the DFT cell and can differ from measured ones.

Crystal structure
Cell lengths 10.854, 6.824, 10.416 Å; angles 90.00, 111.68, 90.00 degrees
Space group P2/c (No. 13)
Unique sites:
Lu (0.047, 0.246, 0.472) [4 per cell]
Lu (0.169, 0.096, 0.804) [4 per cell]
Lu (0.427, 0.336, 0.073) [4 per cell]
Ge (0.224, 0.424, 0.270) [4 per cell]
Ge (0.382, 0.139, 0.602) [4 per cell]
O (0.016, 0.080, 0.888) [4 per cell]
O (0.100, 0.480, 0.109) [4 per cell]
O (0.152, 0.221, 0.324) [4 per cell]
O (0.238, 0.175, 0.636) [4 per cell]
O (0.242, 0.387, 0.890) [4 per cell]
O (0.354, 0.052, 0.983) [4 per cell]
O (0.373, 0.354, 0.252) [4 per cell]
O (0.446, 0.347, 0.552) [4 per cell]
O (0.500, 0.024, 0.750) [2 per cell]

Top 10 peaks for 2θ from 5° to 70°, sorted by position:
(hkl)  two_theta  I/Imax
2 1 -1  21.1  48
3 0 -2  26.1  76
0 2 1  27.7  67
2 1 -3  29.8  55
2 0 2  29.9  100
0 2 2  32.1  31
1 0 -4  34.8  29
4 1 -1  35.8  31
4 3 -3  54.8  28
1 0 6  61.5  31

---

Theoretical powder diffractogram
Compound: Lu2SiGeOs
Radiation: Cu Kα, 1.54184 Å
Structure: a PBE-relaxed structure
Peak positions follow from Bragg's law for the DFT cell and can differ from measured ones.

Crystal structure
Cell lengths 10.532, 4.257, 9.798 Å; angles 90.00, 118.07, 90.00 degrees
Space group C2/m (No. 12)
Unique sites:
Lu (0.005, 0.000, 0.180) [4 per cell]
Lu (0.183, 0.000, 0.609) [4 per cell]
Si (0.006, 0.500, 0.377) [4 per cell]
Ge (0.140, 0.500, 0.063) [4 per cell]
Os (0.227, 0.500, 0.863) [4 per cell]

Top 10 peaks for 2θ from 5° to 70°, sorted by position:
(hkl)  two_theta  I/Imax
0 0 1  10.2  53
1 1 0  23.0  28
1 1 -2  27.8  36
3 1 -1  33.2  33
3 1 -2  33.9  62
1 1 2  34.0  100
4 0 -1  35.0  54
3 1 -3  37.6  63
3 1 1  41.2  59
0 2 0  42.5  60

---

Theoretical powder diffractogram
Compound: TmLuSiGeOs
Radiation: Cu Kα, 1.54184 Å
Structure: a PBE-relaxed structure
Peak positions follow from Bragg's law for the DFT cell and can differ from measured ones.

Crystal structure
Cell lengths 10.480, 4.199, 9.955 Å; angles 90.00, 117.95, 90.00 degrees
Space group C2/m (No. 12)
Unique sites:
Tm (0.186, 0.000, 0.117) [4 per cell]
Lu (0.005, 0.000, 0.672) [4 per cell]
Si (0.140, 0.500, 0.559) [4 per cell]
Ge (0.016, 0.500, 0.875) [4 per cell]
Os (0.234, 0.500, 0.375) [4 per cell]

Top 10 peaks for 2θ from 5° to 70°, sorted by position:
(hkl)  two_theta  I/Imax
1 1 -2  27.8  46
1 1 2  33.9  100
3 1 -2  34.1  59
4 0 -1  35.2  26
3 1 -3  37.6  79
4 0 0  38.9  26
0 0 4  41.1  37
3 1 1  41.3  70
0 2 0  43.1  53
7 1 -3  66.3  27

---

Theoretical powder diffractogram
Compound: TbLuGe2Os
Radiation: Cu Kα, 1.54184 Å
Structure: a PBE-relaxed structure
Peak positions follow from Bragg's law for the DFT cell and can differ from measured ones.

Crystal structure
Cell lengths 10.655, 4.292, 10.054 Å; angles 90.00, 117.66, 90.00 degrees
Space group C2/m (No. 12)
Unique sites:
Tb (0.186, 0.000, 0.114) [4 per cell]
Lu (0.001, 0.000, 0.672) [4 per cell]
Ge (0.013, 0.500, 0.873) [4 per cell]
Ge (0.140, 0.500, 0.561) [4 per cell]
Os (0.232, 0.500, 0.370) [4 per cell]

Top 10 peaks for 2θ from 5° to 70°, sorted by position:
(hkl)  two_theta  I/Imax
0 0 1  9.9  49
1 1 -2  27.3  26
3 1 -1  32.9  29
1 1 2  33.3  88
3 1 -2  33.5  60
1 1 -3  34.2  32
3 1 -3  37.0  76
0 0 4  40.5  100
0 2 0  42.1  61
7 1 -3  65.0  28

---

Theoretical powder diffractogram
Compound: LuGePb
Radiation: Cu Kα, 1.54184 Å
Structure: a PBE-relaxed structure
Peak positions follow from Bragg's law for the DFT cell and can differ from measured ones.

Crystal structure
Cell lengths 4.613, 15.117, 4.671 Å; angles 90.00, 90.00, 90.00 degrees
Space group Cmcm (No. 63)
Unique sites:
Lu (0.000, 0.247, 0.250) [4 per cell]
Ge (0.000, 0.133, 0.750) [4 per cell]
Pb (0.000, 0.421, 0.750) [4 per cell]

Top 10 peaks for 2θ from 5° to 70°, sorted by position:
(hkl)  two_theta  I/Imax
1 1 0  20.1  14
0 4 1  30.4  12
1 3 1  32.6  100
0 6 0  35.6  14
0 0 2  38.5  18
2 0 0  39.1  18
0 6 2  53.5  12
2 0 2  56.0  13
1 3 3  66.0  13
3 3 1  66.7  13